Record 1
This entry pairs a crystal structure of Zn3TeAs2Pb3O14 with its calculated powder X-ray diffraction pattern. Radiation: a wavelength of 1.5418 Å. Structure: a structure optimized by DFT (PBE).
Peak positions follow from Bragg's law for the DFT cell and can differ from measured ones.

Main lines, by intensity (15 to 90 degrees two-theta):
- hkl 1 1 1, d 3.367, I = 100.0
- hkl 0 2 1, d 3.073, I = 70.7
- hkl 3 2 1, d 1.643, I = 48.2
- hkl 1 2 2, d 1.944, I = 43.8
- hkl 3 0 0, d 2.509, I = 37.8
- hkl 2 1 0, d 2.844, I = 24.4
- hkl 3 0 2, d 1.826, I = 21.3
- hkl 1 1 0, d 4.345, I = 20.9
- hkl 5 0 1, d 1.449, I = 20.6
- hkl 0 0 2, d 2.664, I = 18.9
- hkl 0 3 1, d 2.270, I = 18.5
- hkl 3 1 0, d 2.087, I = 17.3

Atomic structure:
a b c (Å): 8.6890 8.6890 5.3282
angles (deg): 90.00 90.00 120.00
Space group P321 (No. 150)
One atom of each set of equivalent atoms:
Zn: 0.0000 0.2413 0.0000 (multiplicity 3)
Te: 0.0000 0.0000 0.5000 (multiplicity 1)
As: 0.3333 0.6667 0.0395 (multiplicity 2)
Pb: 0.0000 0.6025 0.5000 (multiplicity 3)
O: 0.0891 0.8773 0.7110 (multiplicity 6)
O: 0.1937 0.4597 0.1701 (multiplicity 6)
O: 0.3333 0.6667 0.7190 (multiplicity 2)

---

Record 2
This entry pairs a crystal structure of ZrZn20Fe2 with its calculated powder X-ray diffraction pattern. Radiation: a wavelength of 1.5418 Å. Structure: a structure optimized by DFT (PBE).
Peak positions follow from Bragg's law for the DFT cell and can differ from measured ones.

Main lines, by intensity (15 to 90 degrees two-theta):
- hkl 5 3 1, d 2.365, I = 100.0
- hkl 6 2 2, d 2.109, I = 77.5
- hkl 5 3 3, d 2.134, I = 73.7
- hkl 8 8 0, d 1.237, I = 43.3
- hkl 6 2 0, d 2.212, I = 38.5
- hkl 7 1 1, d 1.959, I = 30.7
- hkl 4 4 4, d 2.019, I = 23.9
- hkl 6 6 0, d 1.649, I = 23.1
- hkl 11 3 3, d 1.187, I = 18.6
- hkl 4 4 2, d 2.332, I = 17.8
- hkl 6 6 6, d 1.346, I = 17.5
- hkl 9 3 3, d 1.406, I = 16.4

Atomic structure:
a b c (Å): 13.9910 13.9910 13.9910
angles (deg): 90.00 90.00 90.00
Space group Fd-3m (No. 227, origin choice 2)
One atom of each set of equivalent atoms:
Zr: 0.1250 0.1250 0.1250 (multiplicity 8)
Zn: 0.0000 0.0000 0.0000 (multiplicity 16)
Zn: 0.0113 0.3750 0.8750 (multiplicity 48)
Zn: 0.0596 0.0596 0.3243 (multiplicity 96)
Fe: 0.0000 0.0000 0.5000 (multiplicity 16)

---

Record 3
This entry pairs a crystal structure of MgSi with its calculated powder X-ray diffraction pattern. Radiation: a wavelength of 1.5418 Å. Structure: a structure optimized by DFT (PBE).
Peak positions follow from Bragg's law for the DFT cell and can differ from measured ones.

Main lines, by intensity (15 to 90 degrees two-theta):
- hkl -1 2 1, d 2.240, I = 100.0
- hkl 1 2 -1, d 2.279, I = 84.2
- hkl 2 0 -1, d 2.436, I = 70.0
- hkl 2 0 -2, d 2.120, I = 67.0
- hkl 0 1 3, d 2.470, I = 62.1
- hkl 0 0 3, d 2.527, I = 56.5
- hkl 1 -1 2, d 2.427, I = 50.1
- hkl 1 2 2, d 2.317, I = 40.3
- hkl 2 0 1, d 2.463, I = 38.3
- hkl 2 1 2, d 2.184, I = 32.4
- hkl 0 1 -3, d 2.134, I = 29.9
- hkl 0 2 0, d 2.669, I = 28.1

Atomic structure:
a b c (Å): 5.2447 5.5048 7.7259
angles (deg): 78.88 87.27 80.90
Space group P-1 (No. 2)
One atom of each set of equivalent atoms:
Mg: 0.0262 0.3331 0.1841 (multiplicity 2)
Mg: 0.2660 0.3510 0.5339 (multiplicity 2)
Mg: 0.4430 0.7103 0.1157 (multiplicity 2)
Si: 0.0833 0.1311 0.8660 (multiplicity 2)
Si: 0.2075 0.8641 0.4486 (multiplicity 2)
Si: 0.4446 0.8468 0.7343 (multiplicity 2)

---

Record 4
This entry pairs a crystal structure of Na2Mg2S3O12 with its calculated powder X-ray diffraction pattern. Radiation: a wavelength of 1.5418 Å. Structure: a structure optimized by DFT (PBE).
Peak positions follow from Bragg's law for the DFT cell and can differ from measured ones.

Main lines, by intensity (15 to 90 degrees two-theta):
- hkl 3 1 -2, d 3.796, I = 100.0
- hkl 0 2 1, d 3.770, I = 45.9
- hkl 3 1 1, d 2.858, I = 40.2
- hkl 3 1 -3, d 2.846, I = 38.5
- hkl 0 0 2, d 3.747, I = 24.2
- hkl 3 3 -1, d 2.526, I = 15.1
- hkl 0 4 2, d 1.885, I = 11.6
- hkl 2 2 -2, d 3.138, I = 10.0
- hkl 1 3 0, d 2.834, I = 9.6
- hkl 6 0 -2, d 2.549, I = 9.3
- hkl 6 2 -4, d 1.894, I = 7.8
- hkl 2 2 0, d 3.593, I = 7.3

Atomic structure:
a b c (Å): 15.2948 8.7241 9.0449
angles (deg): 90.00 124.01 90.00
Space group C2/c (No. 15)
One atom of each set of equivalent atoms:
Na: 0.0000 0.1137 0.2500 (multiplicity 4)
Na: 0.2500 0.2500 0.5000 (multiplicity 4)
Mg: 0.1035 0.2556 0.0512 (multiplicity 8)
S: 0.0000 0.4573 0.2500 (multiplicity 4)
S: 0.1461 0.1049 0.7473 (multiplicity 8)
O: 0.0522 0.1695 0.5836 (multiplicity 8)
O: 0.0666 0.4495 0.9099 (multiplicity 8)
O: 0.0720 0.3541 0.2316 (multiplicity 8)
O: 0.1415 0.1294 0.9046 (multiplicity 8)
O: 0.1471 0.0664 0.2299 (multiplicity 8)
O: 0.2407 0.1735 0.7688 (multiplicity 8)

---

Record 5
This entry pairs a crystal structure of LiMg5 with its calculated powder X-ray diffraction pattern. Radiation: a wavelength of 1.5418 Å. Structure: a structure optimized by DFT (PBE).
Peak positions follow from Bragg's law for the DFT cell and can differ from measured ones.

Main lines, by intensity (15 to 90 degrees two-theta):
- hkl 1 1 1, d 2.414, I = 100.0
- hkl 0 0 2, d 2.567, I = 26.4
- hkl 1 1 0, d 2.735, I = 25.4
- hkl 3 0 2, d 1.345, I = 18.9
- hkl 1 1 3, d 1.451, I = 18.9
- hkl 3 0 0, d 1.579, I = 16.9
- hkl 1 1 2, d 1.872, I = 16.0
- hkl 2 2 1, d 1.321, I = 13.4
- hkl 1 0 0, d 4.737, I = 9.1
- hkl 1 0 1, d 3.481, I = 9.0
- hkl 0 0 1, d 5.133, I = 3.8
- hkl 2 2 2, d 1.207, I = 3.4

Atomic structure:
a b c (Å): 5.4704 5.4704 5.1334
angles (deg): 90.00 90.00 120.00
Space group P-62m (No. 189)
One atom of each set of equivalent atoms:
Li: 0.0000 0.0000 0.0000 (multiplicity 1)
Mg: 0.0000 0.6678 0.5000 (multiplicity 3)
Mg: 0.3333 0.6667 0.0000 (multiplicity 2)